# 1
PrRh2: simulated powder diffraction line list (Cu Kα X-rays), based on DFT lattice parameters and positions (PBE).
No peak broadening, texture or thermal motion is included.

Cell and atoms:
a b c (Å): 5.4486 5.4486 5.4486
angles (deg): 60.00 60.00 60.00
Fractional coordinates of all 6 atoms:
Pr  0.1250  0.1250  0.1250
Pr  0.8750  0.8750  0.8750
Rh  0.0000  0.5000  0.5000
Rh  0.5000  0.0000  0.5000
Rh  0.5000  0.5000  0.0000
Rh  0.5000  0.5000  0.5000

Principal peaks in the range 2θ from 15° to 90°, in order of rising 2θ:
d_spacing  I (rel.)
2.724  37
2.323  100
2.224  31
1.926  2
1.573  14
1.483  32
1.362  26
1.218  6
1.175  11
1.162  11

***

# 2
Pr7Rh3: simulated powder diffraction line list (Cu Kα X-rays), based on DFT lattice parameters and positions (PBE).
No peak broadening, texture or thermal motion is included.

Cell and atoms:
a b c (Å): 10.2692 10.2692 6.3808
angles (deg): 90.00 90.00 120.00
Fractional coordinates of all 20 atoms:
Pr  0.0835  0.5417  0.0000
Pr  0.1258  0.2516  0.6902
Pr  0.1258  0.8742  0.6902
Pr  0.2516  0.1258  0.1902
Pr  0.3333  0.6667  0.4759
Pr  0.4583  0.5417  0.0000
Pr  0.4583  0.9165  0.0000
Pr  0.5417  0.0835  0.5000
Pr  0.5417  0.4583  0.5000
Pr  0.6667  0.3333  0.9759
Pr  0.7484  0.8742  0.6902
Pr  0.8742  0.1258  0.1902
Pr  0.8742  0.7484  0.1902
Pr  0.9165  0.4583  0.5000
Rh  0.1886  0.3772  0.2576
Rh  0.1886  0.8114  0.2576
Rh  0.3772  0.1886  0.7576
Rh  0.6228  0.8114  0.2576
Rh  0.8114  0.1886  0.7576
Rh  0.8114  0.6228  0.7576

Principal peaks in the range 2θ from 15° to 90°, in order of rising 2θ:
d_spacing  I (rel.)
3.003  35
2.972  100
2.688  46
2.592  38
2.567  34
2.314  11
1.919  11
1.728  21
1.719  19
1.713  35

***

# 3
Pr3Rh2: simulated powder diffraction line list (Cu Kα X-rays), based on DFT lattice parameters and positions (PBE).
No peak broadening, texture or thermal motion is included.

Cell and atoms:
a b c (Å): 7.6564 7.6564 7.6564
angles (deg): 71.51 71.51 71.51
Fractional coordinates of all 15 atoms:
Pr  0.0000  0.0000  0.0000
Pr  0.1653  0.3930  0.6640
Pr  0.2034  0.2034  0.2034
Pr  0.3360  0.8347  0.6070
Pr  0.3930  0.6640  0.1653
Pr  0.6070  0.3360  0.8347
Pr  0.6640  0.1653  0.3930
Pr  0.7966  0.7966  0.7966
Pr  0.8347  0.6070  0.3360
Rh  0.0436  0.8366  0.4105
Rh  0.1634  0.5895  0.9564
Rh  0.4105  0.0436  0.8366
Rh  0.5895  0.9564  0.1634
Rh  0.8366  0.4105  0.0436
Rh  0.9564  0.1634  0.5895

Principal peaks in the range 2θ from 15° to 90°, in order of rising 2θ:
d_spacing  I (rel.)
3.106  36
2.886  65
2.860  21
2.825  37
2.768  100
2.583  70
2.410  70
2.389  67
1.815  21
1.717  21

***

# 4
Pr2SiRh3: simulated powder diffraction line list (Cu Kα X-rays), based on DFT lattice parameters and positions (PBE).
No peak broadening, texture or thermal motion is included.

Cell and atoms:
a b c (Å): 5.1647 5.1647 5.1647
angles (deg): 67.24 67.24 67.24
Fractional coordinates of all 6 atoms:
Pr  0.1294  0.1294  0.1294
Pr  0.8706  0.8706  0.8706
Si  0.5000  0.5000  0.5000
Rh  0.0000  0.5000  0.5000
Rh  0.5000  0.0000  0.5000
Rh  0.5000  0.5000  0.0000

Principal peaks in the range 2θ from 15° to 90°, in order of rising 2θ:
d_spacing  I (rel.)
2.860  29
2.552  64
2.425  100
2.321  93
2.287  39
2.147  28
1.585  30
1.525  25
1.430  32
1.276  21

***

# 5
PrSi2Rh: simulated powder diffraction line list (Cu Kα X-rays), based on DFT lattice parameters and positions (PBE).
No peak broadening, texture or thermal motion is included.

Cell and atoms:
a b c (Å): 4.3017 16.8550 4.2226
angles (deg): 90.00 90.00 90.00
Fractional coordinates of all 16 atoms:
Pr  0.0000  0.1060  0.2500
Pr  0.0000  0.8940  0.7500
Pr  0.5000  0.3940  0.7500
Pr  0.5000  0.6060  0.2500
Si  0.0000  0.2498  0.7500
Si  0.0000  0.4600  0.2500
Si  0.0000  0.5400  0.7500
Si  0.0000  0.7502  0.2500
Si  0.5000  0.0400  0.7500
Si  0.5000  0.2502  0.2500
Si  0.5000  0.7498  0.7500
Si  0.5000  0.9600  0.2500
Rh  0.0000  0.3194  0.2500
Rh  0.0000  0.6806  0.7500
Rh  0.5000  0.1806  0.7500
Rh  0.5000  0.8194  0.2500

Principal peaks in the range 2θ from 15° to 90°, in order of rising 2θ:
d_spacing  I (rel.)
4.214  16
2.983  29
2.966  71
2.654  100
2.339  25
2.151  25
2.111  24
1.886  15
1.652  26
1.507  16

***

# 6
PrSi2Rh2: simulated powder diffraction line list (Cu Kα X-rays), based on DFT lattice parameters and positions (PBE).
No peak broadening, texture or thermal motion is included.

Cell and atoms:
a b c (Å): 4.1238 4.1238 10.2457
angles (deg): 90.00 90.00 90.00
Fractional coordinates of all 10 atoms:
Pr  0.0000  0.0000  0.0000
Pr  0.5000  0.5000  0.5000
Si  0.0000  0.0000  0.3747
Si  0.0000  0.0000  0.6253
Si  0.5000  0.5000  0.1253
Si  0.5000  0.5000  0.8747
Rh  0.0000  0.5000  0.2500
Rh  0.0000  0.5000  0.7500
Rh  0.5000  0.0000  0.2500
Rh  0.5000  0.0000  0.7500

Principal peaks in the range 2θ from 15° to 90°, in order of rising 2θ:
d_spacing  I (rel.)
3.826  23
2.630  30
2.561  18
2.534  100
2.062  37
1.623  14
1.606  17
1.474  18
1.458  12
1.264  22

***

# 7
Pr3Sn13Rh4: simulated powder diffraction line list (Cu Kα X-rays), based on DFT lattice parameters and positions (PBE).
No peak broadening, texture or thermal motion is included.

Cell and atoms:
a b c (Å): 9.8455 9.8455 9.8455
angles (deg): 90.00 90.00 90.00
Fractional coordinates of all 40 atoms:
Pr  0.0000  0.2500  0.5000
Pr  0.0000  0.7500  0.5000
Pr  0.2500  0.5000  0.0000
Pr  0.5000  0.0000  0.2500
Pr  0.5000  0.0000  0.7500
Pr  0.7500  0.5000  0.0000
Sn  0.0000  0.0000  0.0000
Sn  0.0000  0.3072  0.1534
Sn  0.0000  0.3072  0.8466
Sn  0.0000  0.6928  0.1534
Sn  0.0000  0.6928  0.8466
Sn  0.1534  0.0000  0.3072
Sn  0.1534  0.0000  0.6928
Sn  0.1928  0.5000  0.3466
Sn  0.1928  0.5000  0.6534
Sn  0.3072  0.1534  0.0000
Sn  0.3072  0.8466  0.0000
Sn  0.3466  0.1928  0.5000
Sn  0.3466  0.8072  0.5000
Sn  0.5000  0.3466  0.1928
Sn  0.5000  0.3466  0.8072
Sn  0.5000  0.5000  0.5000
Sn  0.5000  0.6534  0.1928
Sn  0.5000  0.6534  0.8072
Sn  0.6534  0.1928  0.5000
Sn  0.6534  0.8072  0.5000
Sn  0.6928  0.1534  0.0000
Sn  0.6928  0.8466  0.0000
Sn  0.8072  0.5000  0.3466
Sn  0.8072  0.5000  0.6534
Sn  0.8466  0.0000  0.3072
Sn  0.8466  0.0000  0.6928
Rh  0.2500  0.2500  0.2500
Rh  0.2500  0.2500  0.7500
Rh  0.2500  0.7500  0.2500
Rh  0.2500  0.7500  0.7500
Rh  0.7500  0.2500  0.2500
Rh  0.7500  0.2500  0.7500
Rh  0.7500  0.7500  0.2500
Rh  0.7500  0.7500  0.7500

Principal peaks in the range 2θ from 15° to 90°, in order of rising 2θ:
d_spacing  I (rel.)
2.731  100
2.631  38
2.461  21
2.388  14
2.010  22
1.688  14
1.597  17
1.484  14
1.407  11
1.122  10

***

# 8
PrSnRh: simulated powder diffraction line list (Cu Kα X-rays), based on DFT lattice parameters and positions (PBE).
No peak broadening, texture or thermal motion is included.

Cell and atoms:
a b c (Å): 7.5316 7.5316 4.2045
angles (deg): 90.00 90.00 120.00
Fractional coordinates of all 9 atoms:
Pr  0.0000  0.5869  0.0000
Pr  0.4131  0.4131  0.0000
Pr  0.5869  0.0000  0.0000
Sn  0.0000  0.2488  0.5000
Sn  0.2488  0.0000  0.5000
Sn  0.7512  0.7512  0.5000
Rh  0.0000  0.0000  0.0000
Rh  0.3333  0.6667  0.5000
Rh  0.6667  0.3333  0.5000

Principal peaks in the range 2θ from 15° to 90°, in order of rising 2θ:
d_spacing  I (rel.)
2.805  100
2.577  100
2.465  53
2.174  29
2.127  27
2.102  31
1.662  18
1.600  29
1.511  18
1.410  31

***

# 9
Pr4Ru: simulated powder diffraction line list (Cu Kα X-rays), based on DFT lattice parameters and positions (PBE).
No peak broadening, texture or thermal motion is included.

Cell and atoms:
a b c (Å): 7.9153 7.9153 7.9153
angles (deg): 60.00 60.00 60.00
Fractional coordinates of all 10 atoms:
Pr  0.2147  0.7618  0.7618
Pr  0.2382  0.2382  0.2382
Pr  0.2382  0.2382  0.7853
Pr  0.2382  0.7853  0.2382
Pr  0.7618  0.2147  0.7618
Pr  0.7618  0.7618  0.2147
Pr  0.7618  0.7618  0.7618
Pr  0.7853  0.2382  0.2382
Ru  0.3750  0.3750  0.3750
Ru  0.6250  0.6250  0.6250

Principal peaks in the range 2θ from 15° to 90°, in order of rising 2θ:
d_spacing  I (rel.)
3.958  11
3.231  100
2.798  33
2.568  16
2.154  16
1.979  48
1.688  38
1.368  8
1.284  13
1.142  12

***

# 10
Pr3Ru: simulated powder diffraction line list (Cu Kα X-rays), based on DFT lattice parameters and positions (PBE).
No peak broadening, texture or thermal motion is included.

Cell and atoms:
a b c (Å): 7.4720 9.8398 6.5526
angles (deg): 90.00 90.00 90.00
Fractional coordinates of all 16 atoms:
Pr  0.0409  0.2500  0.1458
Pr  0.1747  0.0686  0.6737
Pr  0.1747  0.4314  0.6737
Pr  0.3253  0.5686  0.1737
Pr  0.3253  0.9314  0.1737
Pr  0.4591  0.7500  0.6458
Pr  0.5409  0.2500  0.3542
Pr  0.6747  0.0686  0.8263
Pr  0.6747  0.4314  0.8263
Pr  0.8253  0.5686  0.3263
Pr  0.8253  0.9314  0.3263
Pr  0.9591  0.7500  0.8542
Ru  0.1155  0.7500  0.4486
Ru  0.3845  0.2500  0.9486
Ru  0.6155  0.7500  0.0514
Ru  0.8845  0.2500  0.5514

Principal peaks in the range 2θ from 15° to 90°, in order of rising 2θ:
d_spacing  I (rel.)
3.082  53
3.001  41
2.975  60
2.933  100
2.870  91
2.729  82
2.709  76
2.464  54
1.929  37
1.641  40

***

# 11
PrRu2: simulated powder diffraction line list (Cu Kα X-rays), based on DFT lattice parameters and positions (PBE).
No peak broadening, texture or thermal motion is included.

Cell and atoms:
a b c (Å): 5.4522 5.4522 5.4522
angles (deg): 60.00 60.00 60.00
Fractional coordinates of all 6 atoms:
Pr  0.1250  0.1250  0.1250
Pr  0.8750  0.8750  0.8750
Ru  0.0000  0.5000  0.5000
Ru  0.5000  0.0000  0.5000
Ru  0.5000  0.5000  0.0000
Ru  0.5000  0.5000  0.5000

Principal peaks in the range 2θ from 15° to 90°, in order of rising 2θ:
d_spacing  I (rel.)
2.726  38
2.325  100
2.226  30
1.928  1
1.574  14
1.484  32
1.363  26
1.219  6
1.176  11
1.162  11

***

# 12
Pr7Ru3: simulated powder diffraction line list (Cu Kα X-rays), based on DFT lattice parameters and positions (PBE).
No peak broadening, texture or thermal motion is included.

Cell and atoms:
a b c (Å): 7.4564 23.4982 6.7236
angles (deg): 90.00 90.00 90.00
Fractional coordinates of all 40 atoms:
Pr  0.0447  0.1152  0.1464
Pr  0.0447  0.3848  0.1464
Pr  0.1721  0.0228  0.6800
Pr  0.1721  0.4772  0.6800
Pr  0.1764  0.7500  0.6379
Pr  0.1791  0.1745  0.6814
Pr  0.1791  0.3255  0.6814
Pr  0.3209  0.6745  0.1814
Pr  0.3209  0.8255  0.1814
Pr  0.3236  0.2500  0.1379
Pr  0.3279  0.5228  0.1800
Pr  0.3279  0.9772  0.1800
Pr  0.4553  0.6152  0.6464
Pr  0.4553  0.8848  0.6464
Pr  0.5447  0.1152  0.3536
Pr  0.5447  0.3848  0.3536
Pr  0.6721  0.0228  0.8200
Pr  0.6721  0.4772  0.8200
Pr  0.6764  0.7500  0.8621
Pr  0.6791  0.1745  0.8186
Pr  0.6791  0.3255  0.8186
Pr  0.8209  0.6745  0.3186
Pr  0.8209  0.8255  0.3186
Pr  0.8236  0.2500  0.3621
Pr  0.8279  0.5228  0.3200
Pr  0.8279  0.9772  0.3200
Pr  0.9553  0.6152  0.8536
Pr  0.9553  0.8848  0.8536
Ru  0.0257  0.7500  0.0322
Ru  0.1160  0.5956  0.4675
Ru  0.1160  0.9044  0.4675
Ru  0.3840  0.0956  0.9675
Ru  0.3840  0.4044  0.9675
Ru  0.4743  0.2500  0.5322
Ru  0.5257  0.7500  0.4678
Ru  0.6160  0.5956  0.0325
Ru  0.6160  0.9044  0.0325
Ru  0.8840  0.0956  0.5325
Ru  0.8840  0.4044  0.5325
Ru  0.9743  0.2500  0.9678

Principal peaks in the range 2θ from 15° to 90°, in order of rising 2θ:
d_spacing  I (rel.)
3.065  45
3.005  100
2.853  72
2.786  43
2.551  24
2.495  38
2.331  30
2.016  28
1.796  22
1.717  22

***

What did the twelfth record say?
Pr7Ru3: simulated powder diffraction line list (Cu Kα X-rays), based on DFT lattice parameters and positions (PBE).
No peak broadening, texture or thermal motion is included.

Cell and atoms:
a b c (Å): 7.4564 23.4982 6.7236
angles (deg): 90.00 90.00 90.00
Fractional coordinates of all 40 atoms:
Pr  0.0447  0.1152  0.1464
Pr  0.0447  0.3848  0.1464
Pr  0.1721  0.0228  0.6800
Pr  0.1721  0.4772  0.6800
Pr  0.1764  0.7500  0.6379
Pr  0.1791  0.1745  0.6814
Pr  0.1791  0.3255  0.6814
Pr  0.3209  0.6745  0.1814
Pr  0.3209  0.8255  0.1814
Pr  0.3236  0.2500  0.1379
Pr  0.3279  0.5228  0.1800
Pr  0.3279  0.9772  0.1800
Pr  0.4553  0.6152  0.6464
Pr  0.4553  0.8848  0.6464
Pr  0.5447  0.1152  0.3536
Pr  0.5447  0.3848  0.3536
Pr  0.6721  0.0228  0.8200
Pr  0.6721  0.4772  0.8200
Pr  0.6764  0.7500  0.8621
Pr  0.6791  0.1745  0.8186
Pr  0.6791  0.3255  0.8186
Pr  0.8209  0.6745  0.3186
Pr  0.8209  0.8255  0.3186
Pr  0.8236  0.2500  0.3621
Pr  0.8279  0.5228  0.3200
Pr  0.8279  0.9772  0.3200
Pr  0.9553  0.6152  0.8536
Pr  0.9553  0.8848  0.8536
Ru  0.0257  0.7500  0.0322
Ru  0.1160  0.5956  0.4675
Ru  0.1160  0.9044  0.4675
Ru  0.3840  0.0956  0.9675
Ru  0.3840  0.4044  0.9675
Ru  0.4743  0.2500  0.5322
Ru  0.5257  0.7500  0.4678
Ru  0.6160  0.5956  0.0325
Ru  0.6160  0.9044  0.0325
Ru  0.8840  0.0956  0.5325
Ru  0.8840  0.4044  0.5325
Ru  0.9743  0.2500  0.9678

Principal peaks in the range 2θ from 15° to 90°, in order of rising 2θ:
d_spacing  I (rel.)
3.065  45
3.005  100
2.853  72
2.786  43
2.551  24
2.495  38
2.331  30
2.016  28
1.796  22
1.717  22